Entry 1:
Theoretical XRD peak list
Compound: Zr2VFe
Radiation: CuKα
Structure: a structure optimized by DFT (PBE)

Main lines, most intense first (2θ from 15° to 90°):
d [Å]	2θ/deg	I (rel.)
2.310	38.99	100
2.302	39.14	50
1.331	70.82	31
1.628	56.54	16
1.335	70.52	15
1.155	83.74	9
3.255	27.40	9
1.639	56.10	8
1.151	84.11	5
3.279	27.20	4

Crystal structure
Lattice parameters (Å, degrees): 3.2553 3.2553 6.5579 90.00 90.00 90.00
Atoms (fractional coordinates):
Zr (0.0000, 0.0000, 0.2382)
Zr (0.0000, 0.0000, 0.7618)
V (0.5000, 0.5000, 0.5000)
Fe (0.5000, 0.5000, 0.0000)

***

Entry 2:
Theoretical XRD peak list
Compound: PmAl4Pt2
Radiation: CuKα
Structure: a structure optimized by DFT (PBE)

Main lines, most intense first (2θ from 15° to 90°):
d [Å]	2θ/deg	I (rel.)
3.314	26.90	100
2.124	42.57	76
2.672	33.53	70
2.766	32.36	62
3.912	22.73	31
2.207	40.90	29
1.657	55.44	27
2.070	43.74	27
1.371	68.44	26
1.898	47.94	21

Crystal structure
Lattice parameters (Å, degrees): 7.8242 7.8242 4.1395 90.00 90.00 90.00
Atoms (fractional coordinates):
Pm (0.0000, 0.0000, 0.0000)
Pm (0.5000, 0.5000, 0.5000)
Al (0.0838, 0.3358, 0.5000)
Al (0.1642, 0.5838, 0.0000)
Al (0.3358, 0.0838, 0.5000)
Al (0.4162, 0.8358, 0.0000)
Al (0.5838, 0.1642, 0.0000)
Al (0.6642, 0.9162, 0.5000)
Al (0.8358, 0.4162, 0.0000)
Al (0.9162, 0.6642, 0.5000)
Pt (0.2194, 0.7806, 0.5000)
Pt (0.2806, 0.2806, 0.0000)
Pt (0.7194, 0.7194, 0.0000)
Pt (0.7806, 0.2194, 0.5000)

***

Repeat the second record exactly.
Theoretical XRD peak list
Compound: PmAl4Pt2
Radiation: CuKα
Structure: a structure optimized by DFT (PBE)

Main lines, most intense first (2θ from 15° to 90°):
d [Å]	2θ/deg	I (rel.)
3.314	26.90	100
2.124	42.57	76
2.672	33.53	70
2.766	32.36	62
3.912	22.73	31
2.207	40.90	29
1.657	55.44	27
2.070	43.74	27
1.371	68.44	26
1.898	47.94	21

Crystal structure
Lattice parameters (Å, degrees): 7.8242 7.8242 4.1395 90.00 90.00 90.00
Atoms (fractional coordinates):
Pm (0.0000, 0.0000, 0.0000)
Pm (0.5000, 0.5000, 0.5000)
Al (0.0838, 0.3358, 0.5000)
Al (0.1642, 0.5838, 0.0000)
Al (0.3358, 0.0838, 0.5000)
Al (0.4162, 0.8358, 0.0000)
Al (0.5838, 0.1642, 0.0000)
Al (0.6642, 0.9162, 0.5000)
Al (0.8358, 0.4162, 0.0000)
Al (0.9162, 0.6642, 0.5000)
Pt (0.2194, 0.7806, 0.5000)
Pt (0.2806, 0.2806, 0.0000)
Pt (0.7194, 0.7194, 0.0000)
Pt (0.7806, 0.2194, 0.5000)

***

Repeat the first record exactly.
Theoretical XRD peak list
Compound: Zr2VFe
Radiation: CuKα
Structure: a structure optimized by DFT (PBE)

Main lines, most intense first (2θ from 15° to 90°):
d [Å]	2θ/deg	I (rel.)
2.310	38.99	100
2.302	39.14	50
1.331	70.82	31
1.628	56.54	16
1.335	70.52	15
1.155	83.74	9
3.255	27.40	9
1.639	56.10	8
1.151	84.11	5
3.279	27.20	4

Crystal structure
Lattice parameters (Å, degrees): 3.2553 3.2553 6.5579 90.00 90.00 90.00
Atoms (fractional coordinates):
Zr (0.0000, 0.0000, 0.2382)
Zr (0.0000, 0.0000, 0.7618)
V (0.5000, 0.5000, 0.5000)
Fe (0.5000, 0.5000, 0.0000)